K3YN6: theoretical X-ray powder pattern (a wavelength of 1.5418 Å), based on a cell relaxed with PBE.
Neutral-atom scattering factors, no anomalous dispersion.

Structure:
a = 7.869 Å, b = 7.869 Å, c = 7.869 Å
α = 91.71°, β = 91.71°, γ = 91.71°
Positions (direct):
K 0.000 0.347 0.653
K 0.155 0.845 0.500
K 0.347 0.653 0.000
K 0.500 0.155 0.845
K 0.653 0.000 0.347
K 0.845 0.500 0.155
Y 0.248 0.248 0.248
Y 0.752 0.752 0.752
N 0.027 0.690 0.816
N 0.184 0.310 0.973
N 0.190 0.525 0.316
N 0.310 0.973 0.184
N 0.316 0.190 0.525
N 0.475 0.810 0.684
N 0.525 0.316 0.190
N 0.684 0.475 0.810
N 0.690 0.816 0.027
N 0.810 0.684 0.475
N 0.816 0.027 0.690
N 0.973 0.184 0.310

Main lines, low angle first (2θ from 10° to 90°):
- 16.2°, I = 100.0
- 22.6°, I = 28.1
- 25.6°, I = 33.5
- 27.4°, I = 66.8
- 35.8°, I = 25.4
- 36.5°, I = 27.1
- 37.9°, I = 44.3
- 44.1°, I = 20.6
- 52.7°, I = 19.0
- 56.5°, I = 17.0